The following is a simulated powder X-ray diffraction pattern of Mn3Fe3Si2. It was derived from a crystal structure in Alexandria, relaxed with PBE, using Cu Ka.
Kinematic intensities with the Lorentz-polarization factor, no thermal factor.

Atomic structure:
Unit cell a=6.8560 b=6.8560 c=6.8560 alpha=33.55 beta=33.55 gamma=33.55
Atoms (fractional coordinates):
Mn: 0.0000 0.0000 0.0000
Mn: 0.2503 0.2503 0.2503
Mn: 0.7493 0.7493 0.7493
Fe: 0.3748 0.3748 0.3748
Fe: 0.4993 0.4993 0.4993
Fe: 0.8739 0.8739 0.8739
Si: 0.1253 0.1253 0.1253
Si: 0.6241 0.6241 0.6241

Top 6 peaks for 2θ from 5° to 70°, sorted by position:
2θ/deg  Rel. int.
27.60  6
31.98  2
45.86  100
54.36  3
57.00  1
66.86  15

The following is a simulated powder X-ray diffraction pattern of Mn2FeSi4. It was derived from a crystal structure in Alexandria, relaxed with PBE, using Cu Ka.
Kinematic intensities with the Lorentz-polarization factor, no thermal factor.

Atomic structure:
Unit cell a=6.5494 b=6.5494 c=6.5494 alpha=141.56 beta=141.56 gamma=55.49
Atoms (fractional coordinates):
Mn: 0.1066 0.1066 0.0000
Mn: 0.8934 0.8934 0.0000
Fe: 0.5000 0.5000 0.0000
Si: 0.0000 0.5000 0.5000
Si: 0.3071 0.3071 0.0000
Si: 0.5000 0.0000 0.5000
Si: 0.6929 0.6929 0.0000

Top 10 peaks for 2θ from 5° to 70°, sorted by position:
2θ/deg  Rel. int.
15.29  82
29.29  97
31.08  18
41.90  96
43.06  18
44.36  100
44.86  19
60.76  30
62.66  66
68.86  14

The following is a simulated powder X-ray diffraction pattern of Ta6MnFe. It was derived from a crystal structure in Alexandria, relaxed with PBE, using Cu Ka.
Kinematic intensities with the Lorentz-polarization factor, no thermal factor.

Atomic structure:
Unit cell a=7.2558 b=7.2558 c=7.2558 alpha=144.08 beta=144.08 gamma=51.71
Atoms (fractional coordinates):
Ta: 0.1157 0.6157 0.5000
Ta: 0.2495 0.2495 0.0000
Ta: 0.3843 0.8843 0.5000
Ta: 0.6157 0.1157 0.5000
Ta: 0.7505 0.7505 0.0000
Ta: 0.8843 0.3843 0.5000
Mn: 0.0000 0.0000 0.0000
Fe: 0.5000 0.5000 0.0000

Top 10 peaks for 2θ from 5° to 70°, sorted by position:
2θ/deg  Rel. int.
13.56  6
28.20  5
31.42  14
39.67  100
40.31  49
41.49  4
56.36  8
58.32  17
59.23  6
67.75  3

The following is a simulated powder X-ray diffraction pattern of Ta6Mn5Fe. It was derived from a crystal structure in Alexandria, relaxed with PBE, using Cu Ka.
Kinematic intensities with the Lorentz-polarization factor, no thermal factor.

Atomic structure:
Unit cell a=7.4850 b=7.4850 c=7.4850 alpha=146.36 beta=131.69 gamma=60.15
Atoms (fractional coordinates):
Ta: 0.0822 0.3329 0.7493
Ta: 0.2486 0.0000 0.2486
Ta: 0.4164 0.6671 0.7493
Ta: 0.5836 0.3329 0.2507
Ta: 0.7514 0.0000 0.7514
Ta: 0.9178 0.6671 0.2507
Mn: 0.0000 0.5000 0.5000
Mn: 0.1666 0.1666 0.0000
Mn: 0.3341 0.8341 0.5000
Mn: 0.6659 0.1659 0.5000
Mn: 0.8334 0.8334 0.0000
Fe: 0.5000 0.5000 0.0000

Top 9 peaks for 2θ from 5° to 70°, sorted by position:
2θ/deg  Rel. int.
29.19  41
41.73  100
41.84  20
51.69  6
51.81  6
60.45  7
60.56  13
68.56  14
68.72  3

The following is a simulated powder X-ray diffraction pattern of TaMn2Fe. It was derived from a crystal structure in Alexandria, relaxed with PBE, using Cu Ka.
Kinematic intensities with the Lorentz-polarization factor, no thermal factor.

Atomic structure:
Unit cell a=3.0272 b=3.0272 c=5.8095 alpha=90.00 beta=90.00 gamma=90.00
Atoms (fractional coordinates):
Ta: 0.0000 0.0000 0.0000
Mn: 0.0000 0.0000 0.4918
Mn: 0.5000 0.5000 0.7162
Fe: 0.5000 0.5000 0.2477

Top 10 peaks for 2θ from 5° to 70°, sorted by position:
2θ/deg  Rel. int.
15.25  33
29.51  17
30.78  8
33.38  30
42.22  55
43.16  100
45.14  10
53.15  8
61.24  17
64.12  7

The following is a simulated powder X-ray diffraction pattern of Ta2Mn4Fe5. It was derived from a crystal structure in Alexandria, relaxed with PBE, using Cu Ka.
Kinematic intensities with the Lorentz-polarization factor, no thermal factor.

Atomic structure:
Unit cell a=8.4654 b=7.8615 c=4.6398 alpha=80.80 beta=66.45 gamma=32.75
Atoms (fractional coordinates):
Ta: 0.1082 0.1082 0.8918
Ta: 0.8918 0.8918 0.1082
Mn: 0.2210 0.5091 0.4909
Mn: 0.4909 0.7790 0.2210
Mn: 0.5091 0.2210 0.7790
Mn: 0.7790 0.4909 0.5091
Fe: 0.0000 0.0000 0.5000
Fe: 0.2500 0.2500 0.2500
Fe: 0.5000 0.5000 0.0000
Fe: 0.5000 0.5000 0.5000
Fe: 0.7500 0.7500 0.7500

Top 10 peaks for 2θ from 5° to 70°, sorted by position:
2θ/deg  Rel. int.
22.37  44
23.79  31
32.93  93
37.12  77
39.34  70
43.04  65
43.90  73
44.66  100
48.68  39
49.77  70

The following is a simulated powder X-ray diffraction pattern of TbMn6Fe3. It was derived from a crystal structure in Alexandria, relaxed with PBE, using Cu Ka.
Kinematic intensities with the Lorentz-polarization factor, no thermal factor.

Atomic structure:
Unit cell a=4.7631 b=4.8649 c=6.6129 alpha=87.19 beta=72.50 gamma=63.71
Atoms (fractional coordinates):
Tb: 0.0000 0.0000 0.0000
Mn: 0.1089 0.4573 0.7323
Mn: 0.3400 0.7886 0.5295
Mn: 0.4626 0.2320 0.3980
Mn: 0.6113 0.4776 0.7677
Mn: 0.6312 0.9745 0.7343
Mn: 0.9352 0.2231 0.4240
Fe: 0.2888 0.3519 0.0776
Fe: 0.5939 0.6808 0.1446
Fe: 0.9456 0.7058 0.3856

Top 10 peaks for 2θ from 5° to 70°, sorted by position:
2θ/deg  Rel. int.
36.97  56
40.21  50
41.54  97
42.59  70
42.72  94
43.25  63
44.60  84
45.02  67
45.45  55
45.57  100

The following is a simulated powder X-ray diffraction pattern of MnFeTc4. It was derived from a crystal structure in Alexandria, relaxed with PBE, using Cu Ka.
Kinematic intensities with the Lorentz-polarization factor, no thermal factor.

Atomic structure:
Unit cell a=5.0618 b=5.0618 c=5.0618 alpha=60.00 beta=60.00 gamma=60.00
Atoms (fractional coordinates):
Mn: 0.0000 0.0000 0.0000
Fe: 0.2500 0.2500 0.2500
Tc: 0.1246 0.6251 0.6251
Tc: 0.6251 0.1246 0.6251
Tc: 0.6251 0.6251 0.1246
Tc: 0.6251 0.6251 0.6251

Top 8 peaks for 2θ from 5° to 70°, sorted by position:
2θ/deg  Rel. int.
21.50  35
35.47  13
41.85  100
43.81  59
51.03  15
55.99  8
63.69  4
68.05  30

The following is a simulated powder X-ray diffraction pattern of Mn8FeTc3. It was derived from a crystal structure in Alexandria, relaxed with PBE, using Cu Ka.
Kinematic intensities with the Lorentz-polarization factor, no thermal factor.

Atomic structure:
Unit cell a=8.0433 b=8.0433 c=8.0433 alpha=33.57 beta=33.57 gamma=33.57
Atoms (fractional coordinates):
Mn: 0.0000 0.0000 0.0000
Mn: 0.2472 0.7515 0.7515
Mn: 0.2518 0.2518 0.7501
Mn: 0.2518 0.7501 0.2518
Mn: 0.4995 0.4995 0.4995
Mn: 0.7501 0.2518 0.2518
Mn: 0.7515 0.2472 0.7515
Mn: 0.7515 0.7515 0.2472
Fe: 0.8140 0.8140 0.8140
Tc: 0.1872 0.1872 0.1872
Tc: 0.3128 0.3128 0.3128
Tc: 0.6894 0.6894 0.6894

Top 10 peaks for 2θ from 5° to 70°, sorted by position:
2θ/deg  Rel. int.
11.67  1
22.44  1
23.46  1
27.15  1
29.64  1
35.51  1
38.77  47
45.81  100
47.97  25
61.53  1

The following is a simulated powder X-ray diffraction pattern of Mn4Fe5Tc. It was derived from a crystal structure in Alexandria, relaxed with PBE, using Cu Ka.
Kinematic intensities with the Lorentz-polarization factor, no thermal factor.

Atomic structure:
Unit cell a=5.7868 b=5.7757 c=7.5459 alpha=49.32 beta=49.20 gamma=81.48
Atoms (fractional coordinates):
Mn: 0.0001 0.9999 0.3254
Mn: 0.9999 0.0001 0.6746
Mn: 0.3254 0.6746 0.0001
Mn: 0.6746 0.3254 0.9999
Fe: 0.2189 0.2189 0.7811
Fe: 0.2662 0.6563 0.3437
Fe: 0.2655 0.6562 0.7345
Fe: 0.6562 0.2655 0.3438
Fe: 0.6563 0.2662 0.7338
Tc: 0.7470 0.7470 0.2530

Top 10 peaks for 2θ from 5° to 70°, sorted by position:
2θ/deg  Rel. int.
16.61  19
33.59  14
37.70  15
40.54  11
41.23  100
44.09  23
47.43  29
48.24  13
51.31  20
51.44  20

The following is a simulated powder X-ray diffraction pattern of MnFeTc2. It was derived from a crystal structure in Alexandria, relaxed with PBE, using Cu Ka.
Kinematic intensities with the Lorentz-polarization factor, no thermal factor.

Atomic structure:
Unit cell a=2.6328 b=3.6871 c=5.2735 alpha=90.00 beta=90.00 gamma=90.00
Atoms (fractional coordinates):
Mn: 0.0000 0.0000 0.0000
Fe: 0.0000 0.0000 0.5000
Tc: 0.5000 0.5000 0.2494
Tc: 0.5000 0.5000 0.7506

Top 7 peaks for 2θ from 5° to 70°, sorted by position:
2θ/deg  Rel. int.
24.14  8
34.03  7
42.15  100
48.89  32
49.44  15
55.24  4
61.38  3

The following is a simulated powder X-ray diffraction pattern of MnFe2Tc. It was derived from a crystal structure in Alexandria, relaxed with PBE, using Cu Ka.
Kinematic intensities with the Lorentz-polarization factor, no thermal factor.

Atomic structure:
Unit cell a=4.7961 b=4.7961 c=4.7961 alpha=144.30 beta=129.24 gamma=63.60
Atoms (fractional coordinates):
Mn: 0.0000 0.0000 0.0000
Fe: 0.5071 0.5071 0.0000
Fe: 0.7504 0.2504 0.5000
Tc: 0.2531 0.7531 0.5000

Top 10 peaks for 2θ from 5° to 70°, sorted by position:
2θ/deg  Rel. int.
21.80  4
24.25  5
32.37  3
37.61  2
39.76  2
43.89  100
44.05  25
44.45  24
63.25  8
64.37  15

The following is a simulated powder X-ray diffraction pattern of Th2Mn2Fe15. It was derived from a crystal structure in Alexandria, relaxed with PBE, using Cu Ka.
Kinematic intensities with the Lorentz-polarization factor, no thermal factor.

Atomic structure:
Unit cell a=6.4475 b=6.4475 c=6.4475 alpha=81.95 beta=81.95 gamma=81.95
Atoms (fractional coordinates):
Th: 0.1579 0.1579 0.1579
Th: 0.8421 0.8421 0.8421
Mn: 0.4015 0.4015 0.4015
Mn: 0.5985 0.5985 0.5985
Fe: 0.0000 0.5000 0.5000
Fe: 0.1575 0.1575 0.6578
Fe: 0.1575 0.6578 0.1575
Fe: 0.2121 0.5000 0.7879
Fe: 0.2121 0.7879 0.5000
Fe: 0.3422 0.8425 0.8425
Fe: 0.5000 0.0000 0.5000
Fe: 0.5000 0.2121 0.7879
Fe: 0.5000 0.5000 0.0000
Fe: 0.5000 0.7879 0.2121
Fe: 0.6578 0.1575 0.1575
Fe: 0.7879 0.2121 0.5000
Fe: 0.7879 0.5000 0.2121
Fe: 0.8425 0.3422 0.8425
Fe: 0.8425 0.8425 0.3422

Top 10 peaks for 2θ from 5° to 70°, sorted by position:
2θ/deg  Rel. int.
21.04  16
25.33  9
29.95  40
30.83  10
36.82  28
37.61  19
42.80  100
42.95  20
43.49  21
62.17  29

The following is a simulated powder X-ray diffraction pattern of ThMn8Fe2. It was derived from a crystal structure in Alexandria, relaxed with PBE, using Cu Ka.
Kinematic intensities with the Lorentz-polarization factor, no thermal factor.

Atomic structure:
Unit cell a=8.4030 b=8.4030 c=8.4030 alpha=144.47 beta=144.47 gamma=51.13
Atoms (fractional coordinates):
Th: 0.0000 0.0000 0.0000
Mn: 0.0972 0.0972 0.5015
Mn: 0.0972 0.5957 0.0000
Mn: 0.4043 0.4043 0.5015
Mn: 0.4043 0.9028 0.0000
Mn: 0.5957 0.0972 0.0000
Mn: 0.5957 0.5957 0.4985
Mn: 0.9028 0.4043 0.0000
Mn: 0.9028 0.9028 0.4985
Fe: 0.2500 0.7500 0.5000
Fe: 0.7500 0.2500 0.5000

Top 10 peaks for 2θ from 5° to 70°, sorted by position:
2θ/deg  Rel. int.
18.26  91
24.73  46
27.26  85
35.53  23
37.01  22
39.75  27
42.57  100
43.32  21
43.66  24
50.32  40